No. 1
For BeNi3, a GGA-PBE-relaxed structure gives the calculated powder diffraction line list in this record (λ = 1.5418 Å (Cu Kα)).

Crystal structure
Unit cell a=2.4997 b=2.4997 c=6.3045 alpha=90.00 beta=90.00 gamma=90.00
Space group P4/mmm (No. 123)
Unique sites:
Be 0.0000 0.0000 0.0000 (multiplicity 1)
Ni 0.0000 0.0000 0.5000 (multiplicity 1)
Ni 0.5000 0.5000 0.2183 (multiplicity 2)

Top 8 peaks for 2θ = 10–80°, by angle:
hkl 0 0 1, 2θ 14.05, 6.304 Å, I = 14; hkl 1 0 0, 2θ 35.93, 2.500 Å, I = 10; hkl 1 0 1, 2θ 38.75, 2.324 Å, I = 34; hkl 0 0 3, 2θ 43.04, 2.101 Å, I = 15; hkl 1 0 2, 2θ 46.36, 1.959 Å, I = 100; hkl 1 1 0, 2θ 51.72, 1.768 Å, I = 39; hkl 1 1 3, 2θ 69.49, 1.353 Å, I = 13; hkl 2 0 0, 2θ 76.17, 1.250 Å, I = 11

---

No. 2
For LaTb15In4, a GGA-PBE-relaxed structure gives the calculated powder diffraction line list in this record (λ = 1.5418 Å (Cu Kα)).

Crystal structure
Unit cell a=4.8728 b=4.8728 c=24.9455 alpha=90.00 beta=90.00 gamma=90.00
Space group P4/mmm (No. 123)
Unique sites:
La 0.0000 0.0000 0.0000 (multiplicity 1)
Tb 0.0000 0.5000 0.1083 (multiplicity 4)
Tb 0.0000 0.5000 0.3046 (multiplicity 4)
Tb 0.0000 0.5000 0.5000 (multiplicity 2)
Tb 0.5000 0.5000 0.0000 (multiplicity 1)
Tb 0.5000 0.5000 0.2077 (multiplicity 2)
Tb 0.5000 0.5000 0.4024 (multiplicity 2)
In 0.0000 0.0000 0.2077 (multiplicity 2)
In 0.0000 0.0000 0.4028 (multiplicity 2)

Top 8 peaks for 2θ = 10–80°, by angle:
hkl 1 1 5, 2θ 31.56, 2.835 Å, I = 100; hkl 0 0 10, 2θ 36.00, 2.495 Å, I = 16; hkl 2 0 0, 2θ 36.89, 2.436 Å, I = 34; hkl 2 0 10, 2θ 52.50, 1.743 Å, I = 22; hkl 2 2 0, 2θ 53.17, 1.723 Å, I = 12; hkl 1 1 15, 2θ 61.96, 1.498 Å, I = 11; hkl 3 1 5, 2θ 63.15, 1.472 Å, I = 27; hkl 2 2 10, 2θ 65.89, 1.418 Å, I = 11

---

No. 3
For Tl2In2Hg15, a GGA-PBE-relaxed structure gives the calculated powder diffraction line list in this record (λ = 1.5418 Å (Cu Kα)).

Crystal structure
Unit cell a=9.5936 b=9.5936 c=20.5424 alpha=90.00 beta=90.00 gamma=120.00
Space group R-3m (No. 166, hexagonal axes)
Unique sites:
Tl 0.0000 0.0000 0.2107 (multiplicity 6)
In 0.0000 0.0000 0.4103 (multiplicity 6)
Hg 0.0000 0.3101 0.5000 (multiplicity 18)
Hg 0.0000 0.5000 0.0000 (multiplicity 9)
Hg 0.0676 0.5338 0.6169 (multiplicity 18)

Top 8 peaks for 2θ = 10–80°, by angle:
hkl 1 2 2, 2θ 29.75, 3.003 Å, I = 48; hkl 2 0 5, 2θ 30.60, 2.921 Å, I = 89; hkl 1 1 6, 2θ 32.12, 2.787 Å, I = 30; hkl 3 0 0, 2θ 32.33, 2.769 Å, I = 23; hkl 0 3 3, 2θ 34.95, 2.567 Å, I = 100; hkl 2 2 0, 2θ 37.50, 2.398 Å, I = 18; hkl 2 2 3, 2θ 39.82, 2.264 Å, I = 29; hkl 3 0 6, 2θ 41.96, 2.153 Å, I = 21

---

No. 4
For NiTe8Mo6, a GGA-PBE-relaxed structure gives the calculated powder diffraction line list in this record (λ = 1.5418 Å (Cu Kα)).

Crystal structure
Unit cell a=7.1600 b=7.1891 c=7.2420 alpha=89.30 beta=84.98 gamma=89.69
Space group P1 (No. 1)
Unique sites:
Ni 0.0000 0.0000 0.0000 (multiplicity 1)
Te 0.0337 0.1591 0.3007 (multiplicity 1)
Te 0.0884 0.5543 0.6246 (multiplicity 1)
Te 0.2381 0.0397 0.7377 (multiplicity 1)
Te 0.4337 0.8111 0.2375 (multiplicity 1)
Te 0.5536 0.3036 0.3643 (multiplicity 1)
Te 0.6163 0.6973 0.7110 (multiplicity 1)
Te 0.7168 0.1747 0.8727 (multiplicity 1)
Te 0.9198 0.6787 0.1327 (multiplicity 1)
Mo 0.0654 0.3600 0.9529 (multiplicity 1)
Mo 0.2321 0.4883 0.2433 (multiplicity 1)
Mo 0.2732 0.6855 0.9199 (multiplicity 1)
Mo 0.3633 0.1683 0.0727 (multiplicity 1)
Mo 0.4076 0.3807 0.7428 (multiplicity 1)
Mo 0.5743 0.5046 0.0398 (multiplicity 1)

Top 8 peaks for 2θ = 10–80°, by angle:
hkl 0 0 1, 2θ 12.28, 7.206 Å, I = 100; hkl 1 0 0, 2θ 12.41, 7.132 Å, I = 43; hkl 1 2 0, 2θ 27.77, 3.212 Å, I = 52; hkl 2 -1 1, 2θ 29.81, 2.997 Å, I = 54; hkl -2 2 1, 2θ 38.41, 2.343 Å, I = 59; hkl 1 -3 1, 2θ 41.53, 2.174 Å, I = 40; hkl -1 1 3, 2θ 42.50, 2.127 Å, I = 37; hkl 2 2 -2, 2θ 45.12, 2.009 Å, I = 39